La2Tb7Pr3: computed powder diffraction line list (copper Kα), based on a DFT-relaxed cell (PBE, Alexandria).
Peak positions follow from Bragg's law for the DFT cell and can differ from measured ones.

The 10 most intense peaks (2θ from 10° to 90°), in order of rising 2θ:
hkl  2θ (°)  I (rel.)
1 1 1  29.28  53
2 0 -3  30.21  86
0 0 6  30.27  97
1 1 2  30.85  100
2 0 3  33.23  66
1 1 -4  34.21  73
1 1 -5  37.33  30
3 1 -1  49.44  36
0 2 0  51.05  26
0 2 6  60.48  51

Structure:
```
data_La2Tb7Pr3
_cell_length_a 6.4530
_cell_length_b 3.5788
_cell_length_c 17.8274
_cell_angle_alpha 90.00
_cell_angle_beta 96.35
_cell_angle_gamma 90.00
_symmetry_space_group_name_H-M 'P 1'
_symmetry_Int_Tables_number 1
_symmetry_space_group_name_Hall 'P 1'
loop_
_atom_site_label
_atom_site_type_symbol
_atom_site_fract_x
_atom_site_fract_y
_atom_site_fract_z
_atom_site_occupancy
La1 La 0.0539 0.0000 0.1725 1
La2 La 0.9461 0.0000 0.8275 1
Tb1 Tb 0.0000 0.5000 0.5000 1
Tb2 Tb 0.2261 0.0000 0.6641 1
Tb3 Tb 0.2554 0.0000 0.0007 1
Tb4 Tb 0.2726 0.5000 0.3370 1
Tb5 Tb 0.7274 0.5000 0.6630 1
Tb6 Tb 0.7446 0.0000 0.9993 1
Tb7 Tb 0.7739 0.0000 0.3359 1
Pr1 Pr 0.4561 0.5000 0.8405 1
Pr2 Pr 0.5000 0.0000 0.5000 1
Pr3 Pr 0.5439 0.5000 0.1595 1
```

***

La2Tb4Pr3: computed powder diffraction line list (copper Kα), based on a DFT-relaxed cell (PBE, Alexandria).
Peak positions follow from Bragg's law for the DFT cell and can differ from measured ones.

The 10 most intense peaks (2θ from 10° to 90°), in order of rising 2θ:
hkl  2θ (°)  I (rel.)
0 2 1  29.92  100
2 1 1  29.99  33
1 1 3  34.66  45
2 -1 0  34.80  22
2 3 2  49.84  32
3 0 3  50.02  16
1 3 4  59.15  14
3 3 0  59.25  19
3 2 4  59.35  14
4 4 3  81.01  10

Structure:
```
data_La2Tb4Pr3
_cell_length_a 6.3107
_cell_length_b 6.3484
_cell_length_c 8.1784
_cell_angle_alpha 82.54
_cell_angle_beta 75.12
_cell_angle_gamma 80.29
_symmetry_space_group_name_H-M 'P 1'
_symmetry_Int_Tables_number 1
_symmetry_space_group_name_Hall 'P 1'
loop_
_atom_site_label
_atom_site_type_symbol
_atom_site_fract_x
_atom_site_fract_y
_atom_site_fract_z
_atom_site_occupancy
La1 La 0.1685 0.3323 0.3334 1
La2 La 0.8315 0.6677 0.6666 1
Tb1 Tb 0.2774 0.5532 0.8884 1
Tb2 Tb 0.3907 0.7737 0.4460 1
Tb3 Tb 0.6093 0.2263 0.5540 1
Tb4 Tb 0.7226 0.4468 0.1116 1
Pr1 Pr 0.0581 0.1118 0.7774 1
Pr2 Pr 0.5000 0.0000 0.0000 1
Pr3 Pr 0.9419 0.8882 0.2226 1
```